1.
Na3HoBr6: computed X-ray powder pattern (Cu Kα (weighted mean of Kα1 and Kα2)), based on the GGA-PBE geometry in the Materials Project.

Largest 10 diffraction maxima, by intensity, 2θ = 10–80°:
| 2theta | intensity | index |
| --- | --- | --- |
| 27.3 | 100 | 1 0 -4 |
| 14.0 | 52 | 0 1 1 |
| 41.8 | 46 | 3 1 -1 |
| 16.6 | 45 | 1 1 -1 |
| 14.5 | 43 | 1 0 -2 |
| 27.9 | 39 | 2 1 -1 |
| 26.7 | 37 | 2 1 -2 |
| 30.8 | 29 | 1 2 1 |
| 40.5 | 29 | 0 2 4 |
| 33.5 | 27 | 2 2 -2 |

Structural model:
```
Na3HoBr6
1.0
7.400 0.000 0.000
0.000 7.740 0.000
-7.380 0.000 10.913
Na Ho Br
6 2 12
Direct
0.000 0.000 0.000 Na
0.000 0.500 0.500 Na
0.228 0.060 0.744 Na
0.228 0.440 0.244 Na
0.772 0.560 0.756 Na
0.772 0.940 0.256 Na
0.500 0.000 0.500 Ho
0.500 0.500 0.000 Ho
0.123 0.178 0.436 Br
0.123 0.322 0.936 Br
0.255 0.696 0.422 Br
0.255 0.804 0.922 Br
0.395 0.066 0.262 Br
0.395 0.434 0.762 Br
0.605 0.566 0.238 Br
0.605 0.934 0.738 Br
0.745 0.196 0.078 Br
0.745 0.304 0.578 Br
0.877 0.678 0.064 Br
0.877 0.822 0.564 Br
```



2.
LiHf8N8O4: computed X-ray powder pattern (Cu Kα (weighted mean of Kα1 and Kα2)), based on the GGA-PBE geometry in the Materials Project.

Largest 10 diffraction maxima, by intensity, 2θ = 10–80°:
| 2theta | intensity | index |
| --- | --- | --- |
| 30.4 | 100 | 1 0 3 |
| 32.8 | 55 | 1 -1 0 |
| 33.2 | 55 | 2 1 1 |
| 32.9 | 54 | 1 2 1 |
| 30.0 | 53 | 1 1 -2 |
| 57.1 | 26 | 2 -1 3 |
| 49.0 | 26 | 2 1 -3 |
| 35.5 | 21 | 0 0 4 |
| 44.9 | 20 | 0 2 -2 |
| 45.2 | 18 | 2 0 -2 |

Structural model:
```
LiHf8N8O4
1.0
5.404 0.000 0.000
2.683 4.738 0.000
2.542 1.462 10.106
Li Hf N O
1 8 8 4
Direct
0.000 0.000 0.000 Li
0.077 0.039 0.759 Hf
0.162 0.171 0.460 Hf
0.302 0.328 0.036 Hf
0.419 0.403 0.722 Hf
0.562 0.548 0.276 Hf
0.648 0.706 0.961 Hf
0.788 0.816 0.536 Hf
0.895 0.896 0.240 Hf
0.067 0.677 0.879 N
0.314 0.634 0.120 N
0.344 0.080 0.875 N
0.414 0.805 0.625 N
0.567 0.166 0.380 N
0.636 0.921 0.114 N
0.806 0.127 0.619 N
0.866 0.560 0.374 N
0.120 0.420 0.619 O
0.185 0.855 0.374 O
0.683 0.357 0.878 O
0.931 0.293 0.127 O
```



3.
CeSe2: computed X-ray powder pattern (Cu Kα (weighted mean of Kα1 and Kα2)), based on the GGA-PBE geometry in the Materials Project.

Largest 10 diffraction maxima, by intensity, 2θ = 10–80°:
| 2theta | intensity | index |
| --- | --- | --- |
| 13.2 | 100 | 0 0 4 |
| 26.0 | 72 | 1 0 2 |
| 44.2 | 71 | 1 1 0 |
| 34.5 | 50 | 1 0 7 |
| 28.5 | 46 | 1 0 4 |
| 32.2 | 43 | 1 0 6 |
| 36.9 | 42 | 1 0 8 |
| 30.2 | 36 | 1 0 5 |
| 39.5 | 33 | 1 0 9 |
| 72.9 | 32 | 1 1 16 |

Structural model:
```
CeSe2
1.0
4.098 0.000 0.000
-2.049 3.549 0.000
0.000 0.000 26.814
Ce Se
4 8
Direct
0.000 0.000 0.000 Ce
0.000 0.000 0.250 Ce
0.000 0.000 0.750 Ce
0.333 0.667 0.500 Ce
0.000 0.000 0.437 Se
0.000 0.000 0.563 Se
0.333 0.667 0.063 Se
0.333 0.667 0.937 Se
0.667 0.333 0.187 Se
0.667 0.333 0.313 Se
0.667 0.333 0.687 Se
0.667 0.333 0.813 Se
```